Structure and computed PXRD pattern of CePr7Al4 (a DFT-relaxed cell (GGA-PBE, Alexandria); copper Kα).
Intensities are scaled so that the largest is 100.

Structure:
a b c (Å): 7.685 7.685 10.779
angles (deg): 121.41 121.41 43.19
Atoms (fractional coordinates):
Ce1 0.000 0.000 0.000
Pr1 0.066 0.066 0.390
Pr2 0.205 0.205 0.882
Pr3 0.292 0.292 0.349
Pr4 0.500 0.500 0.000
Pr5 0.708 0.708 0.651
Pr6 0.795 0.795 0.118
Pr7 0.934 0.934 0.610
Al1 0.327 0.327 0.668
Al2 0.449 0.449 0.243
Al3 0.551 0.551 0.757
Al4 0.673 0.673 0.332

Main lines, most intense first (5 to 70 degrees two-theta):
2θ = 31.6°, I = 100
2θ = 30.0°, I = 97
2θ = 29.6°, I = 85
2θ = 28.2°, I = 68
2θ = 25.9°, I = 65
2θ = 23.1°, I = 59
2θ = 37.0°, I = 57
2θ = 42.9°, I = 44
2θ = 41.3°, I = 41
2θ = 33.5°, I = 35
2θ = 31.1°, I = 25
2θ = 51.5°, I = 25



Structure and computed PXRD pattern of K2SiPbO4 (a DFT-relaxed cell (GGA-PBE, Alexandria); copper Kα).
Intensities are scaled so that the largest is 100.

Structure:
a b c (Å): 5.901 5.901 8.567
angles (deg): 90.00 90.00 90.00
Atoms (fractional coordinates):
K1 0.000 0.000 0.000
K2 0.000 0.500 0.250
K3 0.500 0.000 0.750
K4 0.500 0.500 0.500
Si1 0.000 0.500 0.750
Si2 0.500 0.000 0.250
Pb1 0.000 0.000 0.500
Pb2 0.500 0.500 0.000
O1 0.150 0.682 0.643
O2 0.182 0.350 0.857
O3 0.318 0.150 0.357
O4 0.350 0.818 0.143
O5 0.650 0.182 0.143
O6 0.682 0.850 0.357
O7 0.818 0.650 0.857
O8 0.850 0.318 0.643

Main lines, most intense first (5 to 70 degrees two-theta):
2θ = 29.9°, I = 100
2θ = 18.3°, I = 84
2θ = 30.3°, I = 37
2θ = 53.6°, I = 35
2θ = 35.6°, I = 32
2θ = 21.3°, I = 26
2θ = 52.8°, I = 22
2θ = 37.0°, I = 18
2θ = 43.4°, I = 18
2θ = 46.9°, I = 18
2θ = 34.9°, I = 16
2θ = 20.7°, I = 14